Starting from a PBE-relaxed structure, the powder X-ray diffraction pattern of LiSmY was computed for Cu Kα X-rays.

Structure:
Cell: 5.1765 5.1730 12.8647 Å, 90.00 90.04 90.00°
Space group C2/m (No. 12)
One atom of each set of equivalent atoms:
Li  0.2497  0.0000  0.0511 (multiplicity 4)
Sm  0.2497  0.0000  0.3994 (multiplicity 4)
Y  0.2493  0.5000  0.2121 (multiplicity 4)

Peak list (10 most intense, 2θ from 10° to 90°, most intense first)
hkl 1 1 2, 2θ = 28.06°, 3.180 Å, intensity 100
hkl 1 1 -3, 2θ = 32.16°, 2.783 Å, intensity 98
hkl 2 0 0, 2θ = 34.67°, 2.587 Å, intensity 52
hkl 2 0 5, 2θ = 49.99°, 1.824 Å, intensity 33
hkl 3 1 -3, 2θ = 60.56°, 1.529 Å, intensity 32
hkl 3 1 2, 2θ = 58.17°, 1.586 Å, intensity 26
hkl 0 0 5, 2θ = 34.87°, 2.573 Å, intensity 23
hkl 2 2 0, 2θ = 49.84°, 1.830 Å, intensity 19
hkl 2 2 5, 2θ = 62.27°, 1.491 Å, intensity 17
hkl 1 1 -8, 2θ = 63.16°, 1.472 Å, intensity 16